The following is a simulated powder diffraction line list of Nd6Cu2Pb. It was derived from a DFT-relaxed cell (GGA-PBE, Alexandria), using copper Kα.
Intensities are scaled so that the largest is 100.

Structure:
a = 8.881 Å, b = 8.881 Å, c = 8.881 Å
α = 116.64°, β = 109.62°, γ = 102.46°
Element x y z (fractional)
Nd 0.030 0.229 0.802
Nd 0.192 0.293 0.485
Nd 0.192 0.707 0.899
Nd 0.320 0.015 0.695
Nd 0.320 0.625 0.305
Nd 0.427 0.229 0.198
Nd 0.573 0.771 0.802
Nd 0.680 0.375 0.695
Nd 0.680 0.985 0.305
Nd 0.808 0.293 0.101
Nd 0.808 0.707 0.515
Nd 0.970 0.771 0.198
Cu 0.115 0.615 0.500
Cu 0.360 0.000 0.360
Cu 0.640 0.000 0.640
Cu 0.885 0.385 0.500
Pb 0.000 0.000 0.000
Pb 0.500 0.500 0.000

Top 10 peaks for 2θ from 10° to 90°, by angle:
2theta	I (rel.)
30.04	24
30.51	100
32.06	28
32.23	77
33.53	22
34.74	28
38.61	16
53.60	15
53.74	14
58.81	23



The following is a simulated powder diffraction line list of SrBi3Br3O4. It was derived from a DFT-relaxed cell (GGA-PBE, Alexandria), using copper Kα.
Intensities are scaled so that the largest is 100.

Structure:
a = 15.652 Å, b = 15.652 Å, c = 15.652 Å
α = 165.32°, β = 165.32°, γ = 20.81°
Element x y z (fractional)
Sr 0.000 0.000 0.000
Bi 0.312 0.312 0.000
Bi 0.581 0.581 0.000
Bi 0.731 0.731 0.000
Br 0.176 0.176 0.000
Br 0.448 0.448 0.000
Br 0.859 0.859 0.000
O 0.049 0.549 0.500
O 0.270 0.770 0.500
O 0.549 0.049 0.500
O 0.770 0.270 0.500

Top 10 peaks for 2θ from 10° to 90°, by angle:
2theta	I (rel.)
11.50	21
22.42	11
26.58	12
30.21	100
31.65	46
39.55	15
45.37	23
49.94	14
52.73	13
55.48	37



The following is a simulated powder diffraction line list of HfCuNi. It was derived from a DFT-relaxed cell (GGA-PBE, Alexandria), using copper Kα.
Intensities are scaled so that the largest is 100.

Structure:
a = 4.728 Å, b = 4.728 Å, c = 4.618 Å
α = 90.00°, β = 90.00°, γ = 121.34°
Element x y z (fractional)
Hf 0.000 0.000 0.000
Hf 0.500 0.500 0.500
Cu 0.175 0.825 0.500
Cu 0.825 0.175 0.500
Ni 0.335 0.665 0.000
Ni 0.665 0.335 0.000

Top 10 peaks for 2θ from 10° to 90°, by angle:
2theta	I (rel.)
21.56	16
29.38	36
38.89	33
39.00	33
42.99	100
44.95	10
56.26	22
73.26	20
73.40	20
81.49	15



The following is a simulated powder diffraction line list of PaAlF4. It was derived from a DFT-relaxed cell (GGA-PBE, Alexandria), using copper Kα.
Intensities are scaled so that the largest is 100.

Structure:
a = 6.137 Å, b = 6.137 Å, c = 6.137 Å
α = 131.77°, β = 131.77°, γ = 70.59°
Element x y z (fractional)
Pa 0.000 0.000 0.000
Al 0.750 0.250 0.500
F 0.191 0.688 0.102
F 0.312 0.414 0.503
F 0.586 0.089 0.898
F 0.911 0.809 0.497

Top 10 peaks for 2θ from 10° to 90°, by angle:
2theta	I (rel.)
17.71	28
19.80	100
25.11	20
30.89	46
32.20	32
41.25	33
48.93	30
51.57	23
61.33	20
62.11	15



> Which formula does entry 1 have?

Nd6Cu2Pb



> Number 2 is which compound?

SrBi3Br3O4